# 1
This entry pairs a crystal structure of Nb2P4O15 with its theoretical powder X-ray diffraction pattern. Radiation: CuKα. Structure: a cell relaxed with GGA-PBE.
Lines closer than 0.1° are merged.

Unit cell a=6.807 b=8.536 c=11.223 alpha=74.30 beta=89.70 gamma=89.89
Space group P-1 (No. 2)
One atom of each set of equivalent atoms:
Nb (0.234, 0.294, 0.148) [2 per cell]
Nb (0.262, 0.296, 0.645) [2 per cell]
P (0.062, 0.685, 0.599) [2 per cell]
P (0.113, 0.913, 0.123) [2 per cell]
P (0.386, 0.915, 0.624) [2 per cell]
P (0.439, 0.683, 0.102) [2 per cell]
O (0.000, 0.000, 0.000) [1 per cell]
O (0.012, 0.209, 0.791) [2 per cell]
O (0.033, 0.301, 0.526) [2 per cell]
O (0.035, 0.335, 0.049) [2 per cell]
O (0.083, 0.285, 0.306) [2 per cell]
O (0.177, 0.528, 0.646) [2 per cell]
O (0.205, 0.044, 0.174) [2 per cell]
O (0.211, 0.835, 0.568) [2 per cell]
O (0.289, 0.834, 0.065) [2 per cell]
O (0.292, 0.048, 0.674) [2 per cell]
O (0.322, 0.526, 0.142) [2 per cell]
O (0.435, 0.290, 0.793) [2 per cell]
O (0.443, 0.338, 0.532) [2 per cell]
O (0.446, 0.300, 0.017) [2 per cell]
O (0.491, 0.205, 0.287) [2 per cell]
O (0.500, 0.000, 0.500) [1 per cell]

Most intense lines, 2θ = 10–90°, by angle:
(1 1 0), 5.242 Å, rel. 66; (1 1 -1), 4.425 Å, rel. 24; (1 0 2), 4.241 Å, rel. 99; (1 0 -2), 4.221 Å, rel. 100; (0 2 0), 4.112 Å, rel. 49; (1 2 1), 3.599 Å, rel. 33

=====

# 2
This entry pairs a crystal structure of Nb2P3O12 with its theoretical powder X-ray diffraction pattern. Radiation: CuKα. Structure: a cell relaxed with GGA-PBE.
Lines closer than 0.1° are merged.

Unit cell a=8.8352 b=8.8352 c=22.6464 alpha=90.00 beta=90.00 gamma=120.00
Space group R-3c (No. 167, hexagonal axes)
One atom of each set of equivalent atoms:
Nb (0.0000, 0.0000, 0.1420) [12 per cell]
P (0.0000, 0.2821, 0.2500) [18 per cell]
O (0.0309, 0.2023, 0.9074) [36 per cell]
O (0.0316, 0.1992, 0.1950) [36 per cell]

Most intense lines, 2θ = 10–90°, by angle:
(0 1 2), 6.340 Å, rel. 52; (1 0 4), 4.551 Å, rel. 100; (1 1 0), 4.418 Å, rel. 69; (1 1 3), 3.813 Å, rel. 70; (0 2 4), 3.170 Å, rel. 67; (1 1 6), 2.869 Å, rel. 56